No. 1
Structure and theoretical powder X-ray diffraction pattern of Li2Zn6Co (the PBE geometry in Alexandria; Cu Kα).
Peak positions follow from Bragg's law for the DFT cell and can differ from measured ones.

Largest 8 diffraction maxima, by angle, 2θ = 10–90°:
d 6.485, intensity 24; d 3.744, intensity 36; d 2.162, intensity 100; d 2.114, intensity 100; d 1.512, intensity 32; d 1.248, intensity 15; d 1.239, intensity 32; d 1.212, intensity 10

Cell and atoms:
abc: 7.4887 7.4887 2.5621
angles: 90.00 90.00 120.00
Sites, in units of the cell vectors:
Li 0.3333 0.6667 0.0000
Li 0.6667 0.3333 0.0000
Zn 0.0000 0.3309 0.7229
Zn 0.0000 0.6691 0.2771
Zn 0.3309 0.0000 0.7229
Zn 0.3309 0.3309 0.2771
Zn 0.6691 0.0000 0.2771
Zn 0.6691 0.6691 0.7229
Co 0.0000 0.0000 0.5000



No. 2
Structure and theoretical powder X-ray diffraction pattern of LuCo3P2 (the PBE geometry in Alexandria; Cu Kα).
Peak positions follow from Bragg's law for the DFT cell and can differ from measured ones.

Largest 8 diffraction maxima, by angle, 2θ = 10–90°:
d 3.017, intensity 12; d 2.400, intensity 10; d 2.326, intensity 100; d 2.191, intensity 13; d 1.825, intensity 19; d 1.742, intensity 22; d 1.260, intensity 14; d 1.128, intensity 10

Cell and atoms:
abc: 3.6501 10.4557 12.0640
angles: 90.00 90.00 90.00
Sites, in units of the cell vectors:
Lu 0.2500 0.0681 0.2060
Lu 0.2500 0.2500 0.4767
Lu 0.2500 0.4319 0.2060
Lu 0.7500 0.5681 0.7940
Lu 0.7500 0.7500 0.5233
Lu 0.7500 0.9319 0.7940
Co 0.2500 0.1281 0.7089
Co 0.2500 0.2500 0.0140
Co 0.2500 0.3719 0.7089
Co 0.2500 0.5475 0.4311
Co 0.2500 0.5830 0.9942
Co 0.2500 0.7500 0.1601
Co 0.2500 0.7500 0.7029
Co 0.2500 0.9170 0.9942
Co 0.2500 0.9525 0.4311
Co 0.7500 0.0475 0.5689
Co 0.7500 0.0830 0.0058
Co 0.7500 0.2500 0.2971
Co 0.7500 0.2500 0.8399
Co 0.7500 0.4170 0.0058
Co 0.7500 0.4525 0.5689
Co 0.7500 0.6281 0.2911
Co 0.7500 0.7500 0.9860
Co 0.7500 0.8719 0.2911
P 0.2500 0.0968 0.8917
P 0.2500 0.4032 0.8917
P 0.2500 0.5626 0.6169
P 0.2500 0.7500 0.3465
P 0.2500 0.7500 0.8816
P 0.2500 0.9374 0.6169
P 0.7500 0.0626 0.3831
P 0.7500 0.2500 0.1184
P 0.7500 0.2500 0.6535
P 0.7500 0.4374 0.3831
P 0.7500 0.5968 0.1083
P 0.7500 0.9032 0.1083



No. 3
Structure and theoretical powder X-ray diffraction pattern of LuZnCoRh (the PBE geometry in Alexandria; Cu Kα).
Peak positions follow from Bragg's law for the DFT cell and can differ from measured ones.

Largest 8 diffraction maxima, by angle, 2θ = 10–90°:
d 3.616, intensity 18; d 3.132, intensity 4; d 2.214, intensity 100; d 1.889, intensity 9; d 1.566, intensity 16; d 1.437, intensity 4; d 1.279, intensity 33; d 1.107, intensity 11

Cell and atoms:
abc: 4.4289 4.4289 4.4289
angles: 60.00 60.00 60.00
Sites, in units of the cell vectors:
Lu 0.0000 0.0000 0.0000
Zn 0.5000 0.5000 0.5000
Co 0.2500 0.2500 0.2500
Rh 0.7500 0.7500 0.7500